Computed powder X-ray diffraction pattern of Ni2Hg2F7 for Cu Kα, from a structure optimized by DFT (GGA+U).
Neutral-atom scattering factors, no anomalous dispersion.

Most intense lines, 10 to 80 degrees two-theta, low angle first:
d (Å)	I/Imax
5.278	52
4.316	35
3.465	95
3.229	80
2.741	100
2.639	32
2.574	44
2.158	40
1.884	42
1.804	38

Cell and atoms:
```
Ni2Hg2F7
1.0
4.3268 -3.2073 0.0000
4.3268 3.2073 0.0000
-0.3803 0.0000 5.2782
Ni Hg F
2 2 7
Direct
0.2464 0.2464 0.0309
0.7536 0.7536 0.9691
0.2127 0.7873 0.5000
0.7873 0.2127 0.5000
0.0000 0.0000 0.0000
0.0457 0.4982 0.7652
0.4521 0.4521 0.2344
0.4982 0.0457 0.7652
0.5018 0.9543 0.2348
0.5479 0.5479 0.7656
0.9543 0.5018 0.2348
```